Entry 1:
Diffraction record for DyAsRu2C. The X-ray diffraction stick pattern is theoretical, not measured: it uses a DFT-relaxed cell (PBE, Alexandria) and CuKα.
Neutral-atom scattering factors, no anomalous dispersion.

Main lines, sorted by position (2θ from 15° to 90°):
2θ/deg, intensity
33.3, 65
34.3, 40
34.8, 100
35.6, 54
40.6, 49
44.9, 23
46.8, 33
61.2, 18
63.7, 26
79.0, 21

Structural model:
Unit cell a=5.927 b=5.927 c=7.265 alpha=90.00 beta=90.00 gamma=141.78
Positions (direct):
Dy 0.043 0.957 0.750
Dy 0.957 0.043 0.250
As 0.232 0.768 0.250
As 0.768 0.232 0.750
Ru 0.338 0.662 0.553
Ru 0.338 0.662 0.947
Ru 0.662 0.338 0.053
Ru 0.662 0.338 0.447
C 0.500 0.500 0.000
C 0.500 0.500 0.500

---

Entry 2:
Diffraction record for Sm3Mg2Tc. The X-ray diffraction stick pattern is theoretical, not measured: it uses a DFT-relaxed cell (PBE, Alexandria) and CuKα.
Neutral-atom scattering factors, no anomalous dispersion.

Main lines, sorted by position (2θ from 15° to 90°):
2θ/deg, intensity
22.0, 14
24.7, 29
33.3, 100
35.0, 25
35.4, 23
41.8, 21
50.6, 16
56.9, 7
61.6, 16
62.1, 14

Structural model:
Unit cell a=8.036 b=8.036 c=8.092 alpha=90.00 beta=90.00 gamma=142.76
Positions (direct):
Sm 0.000 0.000 0.220
Sm 0.000 0.000 0.780
Sm 0.324 0.676 0.211
Sm 0.324 0.676 0.789
Sm 0.676 0.324 0.211
Sm 0.676 0.324 0.789
Mg 0.165 0.835 0.500
Mg 0.500 0.500 0.000
Mg 0.500 0.500 0.500
Mg 0.835 0.165 0.500
Tc 0.159 0.841 0.000
Tc 0.841 0.159 0.000

---

Entry 3:
Diffraction record for AcSm12Er2. The X-ray diffraction stick pattern is theoretical, not measured: it uses a DFT-relaxed cell (PBE, Alexandria) and CuKα.
Neutral-atom scattering factors, no anomalous dispersion.

Main lines, sorted by position (2θ from 15° to 90°):
2θ/deg, intensity
29.7, 100
30.5, 41
31.3, 61
31.6, 20
31.6, 21
31.8, 54
32.9, 25
45.1, 29
59.4, 18
60.4, 19

Structural model:
Unit cell a=6.770 b=6.770 c=24.867 alpha=92.22 beta=92.22 gamma=115.09
Positions (direct):
Ac 0.249 0.249 0.493
Ac 0.751 0.751 0.507
Sm 0.062 0.539 0.704
Sm 0.072 0.592 0.830
Sm 0.127 0.127 0.074
Sm 0.147 0.625 0.055
Sm 0.214 0.214 0.349
Sm 0.233 0.732 0.423
Sm 0.268 0.767 0.577
Sm 0.282 0.282 0.636
Sm 0.349 0.349 0.922
Sm 0.375 0.853 0.945
Sm 0.408 0.928 0.170
Sm 0.461 0.938 0.296
Sm 0.539 0.062 0.704
Sm 0.592 0.072 0.830
Sm 0.625 0.147 0.055
Sm 0.651 0.651 0.078
Sm 0.718 0.718 0.364
Sm 0.732 0.233 0.423
Sm 0.767 0.268 0.577
Sm 0.786 0.786 0.651
Sm 0.853 0.375 0.945
Sm 0.873 0.873 0.926
Sm 0.928 0.408 0.170
Sm 0.938 0.461 0.296
Er 0.076 0.076 0.775
Er 0.440 0.440 0.223
Er 0.560 0.560 0.777
Er 0.924 0.924 0.225

---

Entry 4:
Diffraction record for AcSm3Os. The X-ray diffraction stick pattern is theoretical, not measured: it uses a DFT-relaxed cell (PBE, Alexandria) and CuKα.
Neutral-atom scattering factors, no anomalous dispersion.

Main lines, sorted by position (2θ from 15° to 90°):
2θ/deg, intensity
28.3, 99
28.9, 64
29.1, 74
29.5, 70
32.4, 51
32.8, 100
33.3, 57
34.1, 67
34.4, 63
35.1, 63

Structural model:
Unit cell a=7.933 b=7.762 c=10.560 alpha=90.00 beta=104.06 gamma=90.00
Positions (direct):
Ac 0.205 0.044 0.250
Ac 0.205 0.456 0.750
Ac 0.795 0.544 0.250
Ac 0.795 0.956 0.750
Sm 0.083 0.705 0.032
Sm 0.083 0.795 0.532
Sm 0.307 0.518 0.378
Sm 0.307 0.982 0.878
Sm 0.395 0.124 0.595
Sm 0.395 0.376 0.095
Sm 0.605 0.624 0.905
Sm 0.605 0.876 0.405
Sm 0.693 0.018 0.122
Sm 0.693 0.482 0.622
Sm 0.917 0.205 0.468
Sm 0.917 0.295 0.968
Os 0.448 0.748 0.613
Os 0.448 0.752 0.113
Os 0.552 0.248 0.887
Os 0.552 0.252 0.387

---

Entry 5:
Diffraction record for Li4Cu7P6O24. The X-ray diffraction stick pattern is theoretical, not measured: it uses a DFT-relaxed cell (PBE, Alexandria) and CuKα.
Neutral-atom scattering factors, no anomalous dispersion.

Main lines, sorted by position (2θ from 15° to 90°):
2θ/deg, intensity
24.4, 76
31.5, 100
32.1, 35
32.7, 27
33.6, 18
34.5, 61
37.5, 15
39.2, 19
55.1, 15
57.6, 16

Structural model:
Unit cell a=8.864 b=8.864 c=6.307 alpha=98.92 beta=98.92 gamma=101.96
Positions (direct):
Li 0.104 0.896 0.000
Li 0.279 0.279 0.034
Li 0.721 0.721 0.966
Li 0.896 0.104 0.000
Cu 0.135 0.865 0.500
Cu 0.140 0.513 0.681
Cu 0.487 0.860 0.319
Cu 0.500 0.500 0.500
Cu 0.513 0.140 0.681
Cu 0.860 0.487 0.319
Cu 0.865 0.135 0.500
P 0.191 0.191 0.396
P 0.202 0.600 0.204
P 0.400 0.798 0.796
P 0.600 0.202 0.204
P 0.798 0.400 0.796
P 0.809 0.809 0.604
O 0.078 0.257 0.532
O 0.102 0.523 0.361
O 0.109 0.109 0.160
O 0.162 0.761 0.195
O 0.165 0.479 0.984
O 0.239 0.838 0.805
O 0.257 0.078 0.532
O 0.325 0.325 0.367
O 0.365 0.615 0.709
O 0.385 0.635 0.291
O 0.477 0.898 0.639
O 0.479 0.165 0.984
O 0.521 0.835 0.016
O 0.523 0.102 0.361
O 0.615 0.365 0.709
O 0.635 0.385 0.291
O 0.675 0.675 0.633
O 0.743 0.922 0.468
O 0.761 0.162 0.195
O 0.835 0.521 0.016
O 0.838 0.239 0.805
O 0.891 0.891 0.840
O 0.898 0.477 0.639
O 0.922 0.743 0.468

---

Entry 6:
Diffraction record for SmZnGa2Co2. The X-ray diffraction stick pattern is theoretical, not measured: it uses a DFT-relaxed cell (PBE, Alexandria) and CuKα.
Neutral-atom scattering factors, no anomalous dispersion.

Main lines, sorted by position (2θ from 15° to 90°):
2θ/deg, intensity
26.0, 13
28.8, 48
33.2, 45
38.6, 100
41.2, 74
57.7, 60
59.7, 24
73.3, 14
82.7, 18
87.7, 18

Structural model:
Unit cell a=4.384 b=4.384 c=5.512 alpha=90.00 beta=90.00 gamma=90.00
Positions (direct):
Sm 0.000 0.000 0.000
Zn 0.000 0.000 0.500
Ga 0.500 0.500 0.251
Ga 0.500 0.500 0.749
Co 0.000 0.500 0.500
Co 0.500 0.000 0.500

---

Entry 7:
Diffraction record for CaLa2Dy. The X-ray diffraction stick pattern is theoretical, not measured: it uses a DFT-relaxed cell (PBE, Alexandria) and CuKα.
Neutral-atom scattering factors, no anomalous dispersion.

Main lines, sorted by position (2θ from 15° to 90°):
2θ/deg, intensity
28.3, 43
28.9, 41
30.4, 100
32.6, 62
37.1, 37
49.2, 30
50.6, 26
58.1, 34
59.0, 15
80.3, 12

Structural model:
Unit cell a=12.556 b=12.556 c=12.556 alpha=16.95 beta=16.95 gamma=16.95
Positions (direct):
Ca 0.000 0.000 0.000
La 0.578 0.578 0.578
La 0.756 0.756 0.756
Dy 0.167 0.167 0.167

---

Entry 8:
Diffraction record for Ba4FeMo. The X-ray diffraction stick pattern is theoretical, not measured: it uses a DFT-relaxed cell (PBE, Alexandria) and CuKα.
Neutral-atom scattering factors, no anomalous dispersion.

Main lines, sorted by position (2θ from 15° to 90°):
2θ/deg, intensity
15.3, 26
25.1, 13
29.5, 100
30.9, 58
35.8, 14
47.0, 36
51.5, 34
60.5, 13
61.3, 24
72.3, 22

Structural model:
Unit cell a=7.097 b=7.097 c=7.097 alpha=60.00 beta=60.00 gamma=60.00
Positions (direct):
Ba 0.125 0.125 0.125
Ba 0.125 0.125 0.625
Ba 0.125 0.625 0.125
Ba 0.625 0.125 0.125
Fe 0.750 0.750 0.750
Mo 0.500 0.500 0.500

---

Entry 9:
Diffraction record for La2Sm6Tl. The X-ray diffraction stick pattern is theoretical, not measured: it uses a DFT-relaxed cell (PBE, Alexandria) and CuKα.
Neutral-atom scattering factors, no anomalous dispersion.

Main lines, sorted by position (2θ from 15° to 90°):
2θ/deg, intensity
26.8, 8
29.8, 12
31.1, 100
31.3, 29
34.9, 9
37.2, 6
44.7, 12
55.3, 20
55.7, 16
64.9, 10

Structural model:
Unit cell a=9.975 b=10.571 c=5.707 alpha=90.00 beta=90.00 gamma=90.00
Positions (direct):
La 0.189 0.246 0.000
La 0.311 0.746 0.500
La 0.689 0.254 0.500
La 0.811 0.754 0.000
Sm 0.017 0.184 0.500
Sm 0.139 0.600 0.000
Sm 0.181 0.922 0.000
Sm 0.319 0.422 0.500
Sm 0.361 0.100 0.500
Sm 0.483 0.684 0.000
Sm 0.517 0.316 0.000
Sm 0.639 0.900 0.500
Sm 0.681 0.578 0.500
Sm 0.819 0.078 0.000
Sm 0.861 0.400 0.000
Sm 0.983 0.816 0.500
Tl 0.000 0.500 0.500
Tl 0.500 0.000 0.000

---

Entry 10:
Diffraction record for Tl4H3Cl4. The X-ray diffraction stick pattern is theoretical, not measured: it uses a DFT-relaxed cell (PBE, Alexandria) and CuKα.
Neutral-atom scattering factors, no anomalous dispersion.

Main lines, sorted by position (2θ from 15° to 90°):
2θ/deg, intensity
20.9, 100
24.1, 72
28.3, 51
29.6, 46
30.0, 41
32.2, 41
38.5, 42
42.6, 31
44.3, 34
51.7, 30

Structural model:
Unit cell a=12.087 b=6.269 c=6.269 alpha=36.13 beta=90.00 gamma=90.00
Positions (direct):
Tl 0.000 0.000 0.000
Tl 0.247 0.751 0.751
Tl 0.500 0.022 0.022
Tl 0.753 0.751 0.751
H 0.000 0.503 0.503
H 0.249 0.248 0.248
H 0.751 0.248 0.248
Cl 0.000 0.756 0.756
Cl 0.246 0.993 0.993
Cl 0.500 0.719 0.719
Cl 0.754 0.993 0.993

---

Entry 11:
Diffraction record for MnCo2I8. The X-ray diffraction stick pattern is theoretical, not measured: it uses a DFT-relaxed cell (PBE, Alexandria) and CuKα.
Neutral-atom scattering factors, no anomalous dispersion.

Main lines, sorted by position (2θ from 15° to 90°):
2θ/deg, intensity
16.0, 65
21.0, 100
26.8, 68
28.4, 41
28.8, 59
29.2, 32
29.3, 30
34.3, 39
36.9, 34
43.0, 33

Structural model:
Unit cell a=8.153 b=8.153 c=8.127 alpha=100.00 beta=100.00 gamma=75.70
Positions (direct):
Mn 0.000 0.000 0.000
Co 0.115 0.115 0.372
Co 0.885 0.885 0.628
I 0.066 0.682 0.837
I 0.094 0.094 0.687
I 0.314 0.314 0.491
I 0.318 0.934 0.163
I 0.682 0.066 0.837
I 0.686 0.686 0.509
I 0.906 0.906 0.313
I 0.934 0.318 0.163

---

Entry 12:
Diffraction record for W3Au. The X-ray diffraction stick pattern is theoretical, not measured: it uses a DFT-relaxed cell (PBE, Alexandria) and CuKα.
Neutral-atom scattering factors, no anomalous dispersion.

Main lines, sorted by position (2θ from 15° to 90°):
2θ/deg, intensity
39.5, 100
40.9, 18
56.1, 7
58.1, 13
70.8, 7
71.7, 21
73.5, 13
85.1, 11
88.5, 2

Structural model:
Unit cell a=2.750 b=2.750 c=9.126 alpha=90.00 beta=90.00 gamma=106.86
Positions (direct):
W 0.000 0.000 0.000
W 0.500 0.500 0.242
W 0.500 0.500 0.758
Au 0.000 0.000 0.500